Structure and theoretical powder diffractogram of PmAlAu3 (a structure optimized by DFT (GGA-PBE); a wavelength of 1.5418 Å).

Atomic structure:
a b c (Å): 18.1553 4.3568 5.4054
angles (deg): 90.00 105.60 90.00
Space group C2/m (No. 12)
Unique sites:
Pm 0.0765 0.0000 0.3190 [4 per cell]
Al 0.1956 0.5000 0.1292 [4 per cell]
Au 0.0455 0.5000 0.7737 [4 per cell]
Au 0.1581 0.0000 0.8843 [4 per cell]
Au 0.2118 0.5000 0.6092 [4 per cell]

Main lines, by intensity (10° ≤ 2θ ≤ 90°):
| Position (°2θ) | intensity |
| --- | --- |
| 33.8 | 100 |
| 33.1 | 69 |
| 41.5 | 39 |
| 41.9 | 34 |
| 32.8 | 22 |
| 39.3 | 15 |
| 39.5 | 15 |
| 22.1 | 14 |
| 60.0 | 14 |
| 41.7 | 12 |